No. 1
# Na8Ti5O14
Calculated XRD peak list, λ = 1.5418 Å (Cu Kα). Input: a PBE-relaxed structure.
Kinematic intensities with the Lorentz-polarization factor, no thermal factor.

Cell and atoms:
```
data_Na8Ti5O14
_chemical_formula_sum 'Na16 Ti10 O28'
_cell_length_a 8.449
_cell_length_b 8.640
_cell_length_c 10.648
_cell_angle_alpha 104.18
_cell_angle_beta 102.21
_cell_angle_gamma 112.53
_symmetry_space_group_name_H-M 'P -1'
_symmetry_Int_Tables_number 2
_symmetry_space_group_name_Hall '-P 1'
loop_
_atom_site_label
_atom_site_fract_x
_atom_site_fract_y
_atom_site_fract_z
Na1 0.000 0.000 0.000
Na2 0.052 0.824 0.486
Na3 0.065 0.628 0.935
Na4 0.125 0.488 0.390
Na5 0.192 0.123 0.331
Na6 0.210 0.918 0.796
Na7 0.317 0.834 0.324
Na8 0.388 0.023 0.117
Na9 0.500 0.500 0.500
Ti1 0.123 0.275 0.845
Ti2 0.285 0.573 0.710
Ti3 0.312 0.388 0.174
Ti4 0.354 0.224 0.651
Ti5 0.466 0.677 0.031
O1 0.063 0.409 0.743
O2 0.095 0.260 0.189
O3 0.096 0.854 0.143
O4 0.125 0.103 0.691
O5 0.179 0.671 0.617
O6 0.229 0.490 0.030
O7 0.253 0.360 0.564
O8 0.287 0.207 0.984
O9 0.320 0.050 0.505
O10 0.353 0.758 0.909
O11 0.394 0.602 0.325
O12 0.418 0.452 0.856
O13 0.457 0.301 0.272
O14 0.481 0.154 0.803
```

Largest 10 diffraction maxima, by angle, 5° ≤ 2θ ≤ 70°:
9.1 deg, intensity 38; 11.9 deg, intensity 50; 12.1 deg, intensity 28; 12.4 deg, intensity 90; 33.6 deg, intensity 28; 33.9 deg, intensity 25; 34.1 deg, intensity 26; 38.6 deg, intensity 92; 40.2 deg, intensity 99; 40.4 deg, intensity 100


No. 2
# NaTi2O4
Calculated XRD peak list, λ = 1.5418 Å (Cu Kα). Input: a PBE-relaxed structure.
Kinematic intensities with the Lorentz-polarization factor, no thermal factor.

Cell and atoms:
```
data_NaTi2O4
_chemical_formula_sum 'Na2 Ti4 O8'
_cell_length_a 3.402
_cell_length_b 4.098
_cell_length_c 12.429
_cell_angle_alpha 90.00
_cell_angle_beta 90.00
_cell_angle_gamma 90.00
_symmetry_space_group_name_H-M 'I m m 2'
_symmetry_Int_Tables_number 44
_symmetry_space_group_name_Hall 'I 2 -2'
loop_
_atom_site_label
_atom_site_fract_x
_atom_site_fract_y
_atom_site_fract_z
Na1 0.000 0.000 0.000
Ti1 0.000 0.000 0.652
Ti2 0.000 0.500 0.809
O1 0.000 0.000 0.376
O2 0.000 0.000 0.805
O3 0.000 0.500 0.086
O4 0.000 0.500 0.652
```

Largest 10 diffraction maxima, by angle, 5° ≤ 2θ ≤ 70°:
14.3 deg, intensity 50; 27.2 deg, intensity 100; 30.7 deg, intensity 78; 34.1 deg, intensity 20; 43.7 deg, intensity 21; 44.2 deg, intensity 47; 45.2 deg, intensity 30; 45.3 deg, intensity 22; 52.7 deg, intensity 27; 53.9 deg, intensity 23


No. 3
# NaTmTi2O6
Calculated XRD peak list, λ = 1.5418 Å (Cu Kα). Input: a PBE-relaxed structure.
Kinematic intensities with the Lorentz-polarization factor, no thermal factor.

Cell and atoms:
```
data_NaTmTi2O6
_chemical_formula_sum 'Na2 Tm2 Ti4 O12'
_cell_length_a 7.604
_cell_length_b 5.522
_cell_length_c 5.308
_cell_angle_alpha 90.00
_cell_angle_beta 90.00
_cell_angle_gamma 90.00
_symmetry_space_group_name_H-M 'P m n 21'
_symmetry_Int_Tables_number 31
_symmetry_space_group_name_Hall 'P 2ac -2'
loop_
_atom_site_label
_atom_site_fract_x
_atom_site_fract_y
_atom_site_fract_z
Na1 0.000 0.213 0.000
Tm1 0.000 0.676 0.526
Ti1 0.247 0.235 0.519
O1 0.000 0.279 0.427
O2 0.000 0.776 0.118
O3 0.194 0.942 0.693
O4 0.207 0.464 0.785
```

Largest 10 diffraction maxima, by angle, 5° ≤ 2θ ≤ 70°:
19.9 deg, intensity 51; 20.4 deg, intensity 68; 26.1 deg, intensity 21; 32.4 deg, intensity 18; 33.2 deg, intensity 100; 33.8 deg, intensity 26; 39.5 deg, intensity 31; 47.5 deg, intensity 22; 47.9 deg, intensity 18; 60.1 deg, intensity 24